Record 1
Structure and computed X-ray diffraction stick pattern of Pr3Dy2Ho7 (a GGA-PBE-relaxed structure; Cu Ka).
Lines closer than 0.1° are merged.

Crystal structure
a b c (Å): 5.8373 3.5752 18.8259
angles (deg): 90.00 93.04 90.00
Fractional positions:
Pr 0.0000 0.0000 0.0000
Pr 0.2779 0.5000 0.6335
Pr 0.7221 0.5000 0.3665
Dy 0.2107 0.0000 0.2920
Dy 0.7893 0.0000 0.7080
Ho 0.1911 0.5000 0.1438
Ho 0.2429 0.0000 0.4621
Ho 0.3067 0.0000 0.8251
Ho 0.5000 0.5000 0.0000
Ho 0.6933 0.0000 0.1749
Ho 0.7571 0.0000 0.5379
Ho 0.8089 0.5000 0.8562

The 10 most intense peaks (10° ≤ 2θ ≤ 90°), by intensity:
2θ = 31.1°, I = 100; 2θ = 30.6°, I = 57; 2θ = 31.7°, I = 47; 2θ = 34.6°, I = 39; 2θ = 30.8°, I = 34; 2θ = 33.2°, I = 34; 2θ = 31.4°, I = 28; 2θ = 28.5°, I = 27; 2θ = 54.2°, I = 25; 2θ = 51.1°, I = 21



Record 2
Structure and computed X-ray diffraction stick pattern of Ta2CuPt (a GGA-PBE-relaxed structure; Cu Ka).
Lines closer than 0.1° are merged.

Crystal structure
a b c (Å): 5.5843 8.1555 2.7966
angles (deg): 90.00 90.35 90.00
Fractional positions:
Ta 0.2500 0.2500 0.0000
Ta 0.2500 0.7500 0.0000
Ta 0.7500 0.2500 0.0000
Ta 0.7500 0.7500 0.0000
Cu 0.0000 0.0000 0.5000
Cu 0.5000 0.5000 0.5000
Pt 0.0000 0.5000 0.5000
Pt 0.5000 0.0000 0.5000

The 10 most intense peaks (10° ≤ 2θ ≤ 90°), by intensity:
2θ = 39.1°, I = 100; 2θ = 44.4°, I = 17; 2θ = 45.8°, I = 16; 2θ = 46.1°, I = 16; 2θ = 78.2°, I = 13; 2θ = 80.2°, I = 12; 2θ = 80.6°, I = 12; 2θ = 19.3°, I = 11; 2θ = 65.7°, I = 11; 2θ = 65.9°, I = 11



Record 3
Structure and computed X-ray diffraction stick pattern of CeSbBrO4 (a GGA-PBE-relaxed structure; Cu Ka).
Lines closer than 0.1° are merged.

Crystal structure
a b c (Å): 6.7618 6.7618 7.0317
angles (deg): 109.28 109.28 66.19
Fractional positions:
Ce 0.2389 0.2389 0.1697
Ce 0.7611 0.7611 0.8303
Sb 0.3737 0.3737 0.7861
Sb 0.6263 0.6263 0.2139
Br 0.0002 0.0002 0.2452
Br 0.9998 0.9998 0.7548
O 0.0735 0.4862 0.8175
O 0.3355 0.3355 0.4943
O 0.4396 0.4396 0.1211
O 0.4862 0.0735 0.8175
O 0.5138 0.9265 0.1825
O 0.5604 0.5604 0.8789
O 0.6645 0.6645 0.5057
O 0.9265 0.5138 0.1825

The 10 most intense peaks (10° ≤ 2θ ≤ 90°), by intensity:
2θ = 24.1°, I = 100; 2θ = 31.9°, I = 55; 2θ = 26.8°, I = 48; 2θ = 27.6°, I = 43; 2θ = 13.7°, I = 35; 2θ = 37.0°, I = 28; 2θ = 25.9°, I = 27; 2θ = 28.4°, I = 27; 2θ = 41.8°, I = 25; 2θ = 53.8°, I = 22



Record 4
Structure and computed X-ray diffraction stick pattern of Ca2Ge2Au5 (a GGA-PBE-relaxed structure; Cu Ka).
Lines closer than 0.1° are merged.

Crystal structure
a b c (Å): 4.5837 4.5837 9.0226
angles (deg): 90.00 90.00 90.00
Fractional positions:
Ca 0.0000 0.0000 0.0000
Ca 0.0000 0.0000 0.5000
Ge 0.5000 0.5000 0.1402
Ge 0.5000 0.5000 0.8598
Au 0.0000 0.5000 0.2732
Au 0.0000 0.5000 0.7268
Au 0.5000 0.0000 0.2732
Au 0.5000 0.0000 0.7268
Au 0.5000 0.5000 0.5000

The 10 most intense peaks (10° ≤ 2θ ≤ 90°), by intensity:
2θ = 34.1°, I = 100; 2θ = 39.3°, I = 50; 2θ = 67.9°, I = 27; 2θ = 40.9°, I = 26; 2θ = 19.7°, I = 23; 2θ = 56.8°, I = 17; 2θ = 57.3°, I = 14; 2θ = 19.4°, I = 13; 2θ = 44.3°, I = 12; 2θ = 27.5°, I = 11



What did the third record say?
Structure and computed X-ray diffraction stick pattern of CeSbBrO4 (a GGA-PBE-relaxed structure; Cu Ka).
Lines closer than 0.1° are merged.

Crystal structure
a b c (Å): 6.7618 6.7618 7.0317
angles (deg): 109.28 109.28 66.19
Fractional positions:
Ce 0.2389 0.2389 0.1697
Ce 0.7611 0.7611 0.8303
Sb 0.3737 0.3737 0.7861
Sb 0.6263 0.6263 0.2139
Br 0.0002 0.0002 0.2452
Br 0.9998 0.9998 0.7548
O 0.0735 0.4862 0.8175
O 0.3355 0.3355 0.4943
O 0.4396 0.4396 0.1211
O 0.4862 0.0735 0.8175
O 0.5138 0.9265 0.1825
O 0.5604 0.5604 0.8789
O 0.6645 0.6645 0.5057
O 0.9265 0.5138 0.1825

The 10 most intense peaks (10° ≤ 2θ ≤ 90°), by intensity:
2θ = 24.1°, I = 100; 2θ = 31.9°, I = 55; 2θ = 26.8°, I = 48; 2θ = 27.6°, I = 43; 2θ = 13.7°, I = 35; 2θ = 37.0°, I = 28; 2θ = 25.9°, I = 27; 2θ = 28.4°, I = 27; 2θ = 41.8°, I = 25; 2θ = 53.8°, I = 22